Structure and calculated X-ray diffraction stick pattern of VGePt (the PBE geometry in the Materials Project; Cu Kα).
Neutral-atom scattering factors, no anomalous dispersion.

Main lines, in order of rising 2θ (5 to 70 degrees two-theta):
2theta, Rel. int., index
26.18, 41, 1 1 1
30.32, 62, 2 0 0
43.41, 100, 2 2 0
51.40, 20, 3 1 1
53.87, 17, 2 2 2
63.07, 16, 4 0 0

Crystal structure
```
data_VGePt
_chemical_formula_sum 'V4 Ge4 Pt4'
_cell_length_a 5.896
_cell_length_b 5.896
_cell_length_c 5.896
_cell_angle_alpha 90.00
_cell_angle_beta 90.00
_cell_angle_gamma 90.00
_space_group_name_H-M_alt 'F -4 3 m'
_space_group_IT_number 216
_space_group_name_Hall 'F -4 2 3'
loop_
_atom_site_label
_atom_site_type_symbol
_atom_site_fract_x
_atom_site_fract_y
_atom_site_fract_z
V1 V 0.000 0.000 0.000
Ge1 Ge 0.250 0.250 0.750
Pt1 Pt 0.250 0.250 0.250
```